1.
The following is a theoretical powder diffractogram of BaNi2As2O8. It was derived from DFT lattice parameters and positions (PBE+U), using λ = 1.5418 Å (Cu Kα).

Structural model:
Cell: 8.554 8.554 8.554 Å, 34.14 34.14 34.14°
Sites, in units of the cell vectors:
Ba: 0.000 0.000 0.000
Ni: 0.169 0.169 0.169
Ni: 0.831 0.831 0.831
As: 0.428 0.428 0.428
As: 0.572 0.572 0.572
O: 0.123 0.440 0.785
O: 0.215 0.877 0.560
O: 0.358 0.358 0.358
O: 0.440 0.785 0.123
O: 0.560 0.215 0.877
O: 0.642 0.642 0.642
O: 0.785 0.123 0.440
O: 0.877 0.560 0.215

Largest 10 diffraction maxima, sorted by position, 2θ from 10° to 90°:
d [Å]  I_rel
4.092  44
3.232  100
2.702  61
2.511  84
2.130  19
1.983  26
1.570  37
1.556  23
1.484  19
1.450  24



2.
The following is a theoretical powder diffractogram of BaNiAsO4. It was derived from DFT lattice parameters and positions (PBE+U), using λ = 1.5418 Å (Cu Kα).

Structural model:
Cell: 5.942 5.942 5.942 Å, 60.00 60.00 60.00°
Sites, in units of the cell vectors:
Ba: 0.000 0.000 0.000
Ni: 0.750 0.750 0.750
As: 0.500 0.500 0.500
O: 0.140 0.620 0.620
O: 0.620 0.140 0.620
O: 0.620 0.620 0.140
O: 0.620 0.620 0.620

Largest 10 diffraction maxima, sorted by position, 2θ from 10° to 90°:
d [Å]  I_rel
4.852  26
4.202  35
2.971  100
2.534  13
2.426  12
1.879  14
1.715  38
1.486  17
1.329  16
1.123  19